Structure and theoretical powder XRD pattern of Li3Pd (a cell relaxed with GGA-PBE; Cu Kα (λ = 1.5418 Å)).
Intensities are scaled so that the largest is 100.

Principal peaks in the range 10 to 90 degrees two-theta, sorted by position:
h k l, Position (°2θ), I/Imax
1 1 1, 24.94, 100.0
2 0 0, 28.88, 51.5
2 2 0, 41.30, 55.4
3 1 1, 48.86, 47.1
2 2 2, 51.18, 13.6
4 0 0, 59.84, 9.1
3 3 1, 65.85, 18.8
4 2 0, 67.78, 17.2
4 2 2, 75.30, 18.1
5 1 1, 80.77, 14.0

Cell lengths 6.183, 6.183, 6.183 Å; angles 90.00, 90.00, 90.00 degrees
Space group Fm-3m (No. 225)
Symmetry-distinct sites (fractional):
Li1 0.000 0.000 0.000
Li2 0.250 0.250 0.250
Pd1 0.000 0.000 0.500

***

Structure and theoretical powder XRD pattern of FeCoSn (a cell relaxed with GGA-PBE; Cu Kα (λ = 1.5418 Å)).
Intensities are scaled so that the largest is 100.

Principal peaks in the range 10 to 90 degrees two-theta, sorted by position:
h k l, Position (°2θ), I/Imax
1 0 1, 29.15, 24.2
0 0 2, 34.67, 12.8
1 1 0, 41.14, 100.0
1 0 2, 42.25, 72.7
1 1 2, 54.86, 21.3
2 0 2, 60.44, 24.2
3 0 0, 74.96, 16.4
2 1 2, 75.73, 24.6
1 1 4, 87.53, 22.5
2 2 0, 89.28, 10.9

Cell lengths 4.3887, 4.3887, 5.1752 Å; angles 90.00, 90.00, 120.00 degrees
Space group P6_3/mmc (No. 194)
Symmetry-distinct sites (fractional):
Fe1 0.3333 0.6667 0.2500
Co1 0.0000 0.0000 0.0000
Sn1 0.3333 0.6667 0.7500

***

Structure and theoretical powder XRD pattern of Cs2RbSbI6 (a cell relaxed with GGA-PBE; Cu Kα (λ = 1.5418 Å)).
Intensities are scaled so that the largest is 100.

Principal peaks in the range 10 to 90 degrees two-theta, sorted by position:
h k l, Position (°2θ), I/Imax
2 0 0, 13.57, 15.6
2 2 0, 19.24, 17.2
2 2 2, 23.62, 83.3
4 0 0, 27.34, 100.0
4 4 0, 39.05, 73.1
6 2 2, 46.14, 35.8
4 4 4, 48.32, 25.1
6 6 2, 62.00, 12.9
8 4 0, 63.80, 30.1
8 4 4, 70.74, 21.2

Cell lengths 13.049, 13.049, 13.049 Å; angles 90.00, 90.00, 90.00 degrees
Space group Fm-3m (No. 225)
Symmetry-distinct sites (fractional):
Cs1 0.250 0.250 0.250
Rb1 0.000 0.000 0.000
Sb1 0.000 0.000 0.500
I1 0.000 0.000 0.268

***

Structure and theoretical powder XRD pattern of CaCd2Cu9 (a cell relaxed with GGA-PBE; Cu Kα (λ = 1.5418 Å)).
Intensities are scaled so that the largest is 100.

Principal peaks in the range 10 to 90 degrees two-theta, sorted by position:
h k l, Position (°2θ), I/Imax
1 1 0, 15.01, 20.6
0 0 2, 35.15, 15.9
3 1 1, 38.40, 47.7
2 0 2, 41.48, 14.5
2 1 2, 42.92, 100.0
4 1 0, 44.77, 30.2
3 3 0, 46.14, 16.5
4 0 1, 47.06, 17.5
3 2 3, 68.42, 9.8
5 2 2, 71.17, 11.6

Cell lengths 8.346, 8.346, 5.104 Å; angles 90.00, 90.00, 90.00 degrees
Space group P4/mbm (No. 127)
Symmetry-distinct sites (fractional):
Ca1 0.000 0.000 0.000
Cd1 0.123 0.377 0.000
Cu1 0.000 0.500 0.500
Cu2 0.064 0.206 0.500
Cu3 0.178 0.678 0.247

***

Structure and theoretical powder XRD pattern of Ba8Mn3N8 (a cell relaxed with GGA-PBE; Cu Kα (λ = 1.5418 Å)).
Intensities are scaled so that the largest is 100.

Principal peaks in the range 10 to 90 degrees two-theta, sorted by position:
h k l, Position (°2θ), I/Imax
3 1 1, 25.81, 52.9
1 1 -2, 27.41, 58.1
5 1 -1, 27.69, 69.9
5 1 0, 28.00, 46.5
3 1 -2, 28.31, 32.2
1 1 2, 29.60, 67.6
0 2 0, 31.45, 100.0
5 1 -2, 32.08, 32.1
8 2 -1, 48.42, 23.3
7 1 3, 58.22, 24.4

Cell lengths 20.053, 5.688, 7.966 Å; angles 90.00, 106.43, 90.00 degrees
Space group C2/m (No. 12)
Symmetry-distinct sites (fractional):
Ba1 0.029 0.000 0.274
Ba2 0.100 0.500 0.945
Ba3 0.167 0.500 0.469
Ba4 0.201 0.000 0.805
Mn1 0.000 0.500 0.500
Mn2 0.185 0.000 0.202
N1 0.022 0.500 0.305
N2 0.111 0.000 0.022
N3 0.179 0.000 0.412
N4 0.232 0.500 0.833

***

Structure and theoretical powder XRD pattern of Ag2SnHgS4 (a cell relaxed with GGA-PBE; Cu Kα (λ = 1.5418 Å)).
Intensities are scaled so that the largest is 100.

Principal peaks in the range 10 to 90 degrees two-theta, sorted by position:
h k l, Position (°2θ), I/Imax
0 2 0, 24.54, 22.5
2 1 0, 24.88, 53.6
0 0 2, 25.89, 58.7
0 2 1, 27.80, 54.0
2 1 1, 28.10, 100.0
2 1 2, 36.21, 26.2
2 3 0, 43.41, 42.5
0 2 3, 46.85, 24.9
2 1 3, 47.05, 46.6
2 3 2, 51.23, 34.4

Cell lengths 8.227, 7.255, 6.884 Å; angles 90.00, 90.00, 90.00 degrees
Space group Pmn2_1 (No. 31)
Symmetry-distinct sites (fractional):
Ag1 0.247 0.173 0.000
Sn1 0.000 0.331 0.483
Hg1 0.000 0.650 0.997
S1 0.000 0.325 0.839
S2 0.000 0.651 0.371
S3 0.242 0.165 0.370